1.
Diffraction record for DyHo3Pd12. The powder diffraction line list is theoretical, not measured: it uses DFT lattice parameters and positions (GGA-PBE) and λ = 1.5418 Å (Cu Kα).
Neutral-atom scattering factors, no anomalous dispersion.

Cell and atoms:
```
16
Lattice="4.108 0.000 0.000 0.000 4.108 0.000 0.000 0.000 16.528" Properties=species:S:1:pos:R:3 pbc="T T T"
Dy 0.000 0.000 0.000
Ho 0.000 0.000 4.139
Ho 0.000 0.000 8.264
Ho 0.000 0.000 12.389
Pd 0.000 2.054 2.076
Pd 0.000 2.054 6.200
Pd 0.000 2.054 10.328
Pd 0.000 2.054 14.452
Pd 2.054 0.000 2.076
Pd 2.054 0.000 6.200
Pd 2.054 0.000 10.328
Pd 2.054 0.000 14.452
Pd 2.054 2.054 0.000
Pd 2.054 2.054 4.137
Pd 2.054 2.054 8.264
Pd 2.054 2.054 12.390
```

Main lines, sorted by position (10 to 90 degrees two-theta):
21.6°, rel. 2.4; 30.7°, rel. 3.1; 37.9°, rel. 100.0; 43.8°, rel. 16.5; 44.1°, rel. 32.4; 63.9°, rel. 21.2; 64.1°, rel. 10.5; 76.6°, rel. 12.5; 76.9°, rel. 24.6; 80.9°, rel. 10.8

=====

2.
Diffraction record for RbScSe2. The powder diffraction line list is theoretical, not measured: it uses DFT lattice parameters and positions (GGA-PBE) and λ = 1.5418 Å (Cu Kα).
Neutral-atom scattering factors, no anomalous dispersion.

Cell and atoms:
```
16
Lattice="9.077 0.000 0.000 0.000 11.255 0.000 -3.582 0.000 5.829" Properties=species:S:1:pos:R:3 pbc="T T T"
Rb -0.895 1.497 1.457
Rb -2.686 9.758 4.372
Rb 1.852 4.130 4.372
Rb 3.643 7.124 1.457
Sc -2.686 5.402 4.372
Sc -0.895 5.853 1.457
Sc 3.643 0.226 1.457
Sc 1.852 11.029 4.372
Se 1.164 4.399 0.919
Se -0.627 6.856 3.834
Se -0.207 1.228 4.910
Se 1.583 10.026 1.995
Se 3.912 1.228 3.834
Se 5.702 10.026 0.919
Se 6.122 4.399 1.995
Se 4.331 6.856 4.910
```

Main lines, sorted by position (10 to 90 degrees two-theta):
24.7°, rel. 33.5; 25.4°, rel. 100.0; 27.6°, rel. 12.8; 30.7°, rel. 18.5; 31.8°, rel. 16.2; 33.6°, rel. 17.0; 35.8°, rel. 27.0; 40.3°, rel. 23.2; 42.6°, rel. 12.2; 42.8°, rel. 12.7

=====

3.
Diffraction record for La6Al4Fe9P. The powder diffraction line list is theoretical, not measured: it uses DFT lattice parameters and positions (GGA-PBE) and λ = 1.5418 Å (Cu Kα).
Neutral-atom scattering factors, no anomalous dispersion.

Cell and atoms:
```
40
Lattice="-4.078 4.078 11.611 4.078 -4.078 11.611 4.078 4.078 -11.611" Properties=species:S:1:pos:R:3 pbc="T T T"
La 2.669 -1.409 4.461
La 0.000 0.000 2.533
La 5.487 -1.409 7.150
La 5.487 1.409 4.461
La 0.000 0.000 9.078
La 2.669 1.409 7.150
La 1.409 2.669 4.461
La 0.000 0.000 14.144
La -1.409 2.669 7.150
La -1.409 5.487 4.461
La 0.000 0.000 20.690
La 1.409 5.487 7.150
Al 3.110 0.968 -2.180
Al 3.110 0.968 2.180
Al 3.110 -0.968 9.431
Al 3.110 -0.968 13.791
Al 0.968 5.045 -2.180
Al 0.968 5.045 2.180
Al 0.968 3.110 9.431
Al 0.968 3.110 13.791
Fe 4.078 0.000 0.000
Fe 1.714 0.563 0.000
Fe 5.509 1.431 -1.332
Fe 3.515 -2.364 11.611
Fe 5.509 1.431 1.332
Fe 1.431 2.647 -1.332
Fe 3.515 2.364 0.000
Fe 1.431 2.647 1.332
Fe 1.714 -0.563 11.611
Fe 0.000 4.078 0.000
Fe 2.364 4.641 0.000
Fe 2.647 1.431 10.279
Fe 0.563 1.714 11.611
Fe 2.647 1.431 12.943
Fe -1.431 2.647 10.279
Fe 0.563 6.442 0.000
Fe -1.431 2.647 12.943
Fe 2.364 3.515 11.611
P 0.000 0.000 5.806
P 0.000 0.000 17.417
```

Main lines, sorted by position (10 to 90 degrees two-theta):
27.0°, rel. 97.2; 31.0°, rel. 38.9; 31.2°, rel. 81.7; 34.8°, rel. 100.0; 36.6°, rel. 62.1; 38.1°, rel. 89.0; 38.2°, rel. 42.5; 46.1°, rel. 56.0; 50.1°, rel. 48.0; 57.5°, rel. 67.2

=====

4.
Diffraction record for Pm3TeSN. The powder diffraction line list is theoretical, not measured: it uses DFT lattice parameters and positions (GGA-PBE) and λ = 1.5418 Å (Cu Kα).
Neutral-atom scattering factors, no anomalous dispersion.

Cell and atoms:
```
12
Lattice="8.745 0.000 0.000 0.000 4.074 0.000 -1.744 0.000 9.215" Properties=species:S:1:pos:R:3 pbc="T T T"
Pm -0.033 1.019 3.315
Pm 1.205 1.019 9.103
Pm 2.170 3.056 6.048
Pm 4.831 1.019 3.167
Pm 5.796 3.056 0.113
Pm 7.034 3.056 5.900
Te 2.312 3.056 2.651
Te 4.688 1.019 6.564
S 0.208 1.019 6.129
S 6.793 3.056 3.086
N 2.014 3.056 8.280
N 4.986 1.019 0.935
```

Main lines, sorted by position (10 to 90 degrees two-theta):
10.3°, rel. 23.9; 29.1°, rel. 75.6; 29.8°, rel. 34.8; 30.2°, rel. 32.1; 30.6°, rel. 100.0; 31.2°, rel. 28.2; 38.2°, rel. 44.5; 44.5°, rel. 28.1; 46.8°, rel. 24.9; 54.0°, rel. 26.5